No. 1
Diffraction record for TbPmSnSe. The powder X-ray diffraction pattern is calculated, not measured: it uses DFT lattice parameters and positions (PBE) and Cu Kα X-rays.
Kinematic intensities with the Lorentz-polarization factor, no thermal factor.

Largest 10 diffraction maxima, by angle, 2θ = 15–90°:
2θ (°)	intensity	h k l
29.17	100	1 1 0
29.37	49	0 0 2
41.72	38	2 0 0
41.87	75	1 1 2
51.84	41	2 0 2
68.53	18	3 1 0
68.64	18	2 2 2
68.96	17	1 1 4
76.27	26	3 1 2
76.58	13	2 0 4

Atomic structure:
a b c (Å): 4.330 4.330 6.081
angles (deg): 90.00 90.00 90.00
Sites, in units of the cell vectors:
Tb: 0.000 0.000 0.000
Pm: 0.500 0.500 0.500
Sn: 0.000 0.000 0.500
Se: 0.500 0.500 0.000


No. 2
Diffraction record for Pm4Sn2TeSe. The powder X-ray diffraction pattern is calculated, not measured: it uses DFT lattice parameters and positions (PBE) and Cu Kα X-rays.
Kinematic intensities with the Lorentz-polarization factor, no thermal factor.

Largest 10 diffraction maxima, by angle, 2θ = 15–90°:
2θ (°)	intensity	h k l
28.48	100	1 1 1
40.48	13	2 0 2
40.62	26	1 1 -3
40.80	25	3 1 -1
40.93	13	0 2 0
50.09	7	0 0 4
50.61	14	2 2 -2
58.93	13	2 2 2
66.60	12	0 2 4
66.85	12	4 2 0

Atomic structure:
a b c (Å): 7.670 4.410 7.713
angles (deg): 90.00 109.19 90.00
Sites, in units of the cell vectors:
Pm: 0.242 0.000 0.247
Pm: 0.242 0.500 0.748
Pm: 0.758 0.000 0.753
Pm: 0.758 0.500 0.252
Sn: 0.000 0.500 0.000
Sn: 0.500 0.000 0.000
Te: 0.500 0.500 0.500
Se: 0.000 0.000 0.500